No. 1
Structure and computed powder diffractogram of AlTl2ZnO (a DFT-relaxed cell (GGA-PBE, Alexandria); Cu Kα X-rays).

```
data_AlTl2ZnO
_chemical_formula_sum 'Al1 Tl2 Zn1 O1'
_cell_length_a 5.815
_cell_length_b 5.815
_cell_length_c 3.459
_cell_angle_alpha 90.00
_cell_angle_beta 90.00
_cell_angle_gamma 90.00
_space_group_name_H-M_alt 'P 1'
_space_group_IT_number 1
loop_
_space_group_symop_operation_xyz
'x,y,z'
loop_
_atom_site_label
_atom_site_fract_x
_atom_site_fract_y
_atom_site_fract_z
Al1 0.000 0.000 0.000
Tl1 0.000 0.500 0.000
Tl2 0.500 0.000 0.000
Zn1 0.500 0.500 0.500
O1 0.000 0.000 0.500
```

Most intense lines, 2θ from 10° to 80°, by angle:
two_theta  I/Imax
21.61  56
25.75  27
30.75  81
33.86  100
40.53  33
44.04  30
51.72  17
56.69  46
62.48  21
71.25  14

No. 2
Structure and computed powder diffractogram of ZrAlTlO4 (a DFT-relaxed cell (GGA-PBE, Alexandria); Cu Kα X-rays).

```
data_ZrAlTlO4
_chemical_formula_sum 'Zr2 Al2 Tl2 O8'
_cell_length_a 5.501
_cell_length_b 5.683
_cell_length_c 7.575
_cell_angle_alpha 90.00
_cell_angle_beta 92.27
_cell_angle_gamma 90.00
_space_group_name_H-M_alt 'P 1'
_space_group_IT_number 1
loop_
_space_group_symop_operation_xyz
'x,y,z'
loop_
_atom_site_label
_atom_site_fract_x
_atom_site_fract_y
_atom_site_fract_z
Zr1 0.179 0.250 0.468
Zr2 0.821 0.750 0.532
Al1 0.339 0.750 0.652
Al2 0.661 0.250 0.348
Tl1 0.262 0.750 0.130
Tl2 0.738 0.250 0.870
O1 0.115 0.521 0.653
O2 0.115 0.979 0.653
O3 0.375 0.250 0.238
O4 0.454 0.750 0.433
O5 0.546 0.250 0.567
O6 0.625 0.750 0.762
O7 0.885 0.021 0.347
O8 0.885 0.479 0.347
```

Most intense lines, 2θ from 10° to 80°, by angle:
two_theta  I/Imax
19.55  47
20.34  58
22.50  49
25.13  88
25.73  76
28.09  48
28.33  100
31.48  63
37.81  53
44.46  48

No. 3
Structure and computed powder diffractogram of TmAlO (a DFT-relaxed cell (GGA-PBE, Alexandria); Cu Kα X-rays).

```
data_TmAlO
_chemical_formula_sum 'Tm2 Al2 O2'
_cell_length_a 3.135
_cell_length_b 3.135
_cell_length_c 9.920
_cell_angle_alpha 90.00
_cell_angle_beta 90.00
_cell_angle_gamma 90.00
_space_group_name_H-M_alt 'P 1'
_space_group_IT_number 1
loop_
_space_group_symop_operation_xyz
'x,y,z'
loop_
_atom_site_label
_atom_site_fract_x
_atom_site_fract_y
_atom_site_fract_z
Tm1 0.250 0.250 0.146
Tm2 0.750 0.750 0.854
Al1 0.250 0.250 0.592
Al2 0.750 0.750 0.408
O1 0.250 0.250 0.913
O2 0.750 0.750 0.087
```

Most intense lines, 2θ from 10° to 80°, by angle:
two_theta  I/Imax
26.96  35
29.89  56
33.82  100
36.22  21
40.70  45
41.75  17
49.50  27
54.75  28
55.60  26
69.70  26

No. 4
Structure and computed powder diffractogram of TmAlZnO4 (a DFT-relaxed cell (GGA-PBE, Alexandria); Cu Kα X-rays).

```
data_TmAlZnO4
_chemical_formula_sum 'Tm2 Al2 Zn2 O8'
_cell_length_a 6.171
_cell_length_b 6.171
_cell_length_c 6.171
_cell_angle_alpha 121.71
_cell_angle_beta 117.65
_cell_angle_gamma 90.60
_space_group_name_H-M_alt 'P 1'
_space_group_IT_number 1
loop_
_space_group_symop_operation_xyz
'x,y,z'
loop_
_atom_site_label
_atom_site_fract_x
_atom_site_fract_y
_atom_site_fract_z
Tm1 0.000 0.000 0.000
Tm2 0.500 0.000 0.500
Al1 0.500 0.000 0.000
Al2 0.500 0.500 0.500
Zn1 0.132 0.382 0.750
Zn2 0.868 0.618 0.250
O1 0.277 0.271 0.494
O2 0.277 0.783 0.006
O3 0.286 0.747 0.539
O4 0.292 0.253 0.039
O5 0.708 0.747 0.961
O6 0.714 0.253 0.461
O7 0.723 0.217 0.994
O8 0.723 0.729 0.506
```

Most intense lines, 2θ from 10° to 80°, by angle:
two_theta  I/Imax
17.95  63
20.46  36
28.97  16
29.73  32
33.40  100
34.39  44
41.24  20
46.47  21
55.11  38
60.03  37

No. 5
Structure and computed powder diffractogram of UAlO2 (a DFT-relaxed cell (GGA-PBE, Alexandria); Cu Kα X-rays).

```
data_UAlO2
_chemical_formula_sum 'U1 Al1 O2'
_cell_length_a 6.929
_cell_length_b 6.929
_cell_length_c 6.929
_cell_angle_alpha 24.64
_cell_angle_beta 24.64
_cell_angle_gamma 24.64
_space_group_name_H-M_alt 'P 1'
_space_group_IT_number 1
loop_
_space_group_symop_operation_xyz
'x,y,z'
loop_
_atom_site_label
_atom_site_fract_x
_atom_site_fract_y
_atom_site_fract_z
U1 0.000 0.000 0.000
Al1 0.500 0.500 0.500
O1 0.119 0.119 0.119
O2 0.881 0.881 0.881
```

Most intense lines, 2θ from 10° to 80°, by angle:
two_theta  I/Imax
13.18  100
26.55  41
35.33  50
36.19  61
39.47  36
41.79  19
47.53  20
50.85  28
58.27  17
69.46  18